Structure and computed powder diffraction line list of CsLi2BrF2 (a cell relaxed with GGA-PBE; CuKα).
Neutral-atom scattering factors, no anomalous dispersion.

Top 8 peaks for 2θ from 10° to 80°, most intense first:
- d 3.992, I 100
- d 3.159, I 77
- d 2.768, I 49
- d 4.362, I 40
- d 2.724, I 36
- d 2.586, I 35
- d 4.459, I 24
- d 3.213, I 21

Cell and atoms:
abc: 6.722 5.448 8.121
angles: 90.00 107.06 90.00
Sites, in units of the cell vectors:
Cs 0.172 0.250 0.347
Cs 0.828 0.750 0.653
Li 0.355 0.002 0.796
Li 0.355 0.498 0.796
Li 0.645 0.502 0.204
Li 0.645 0.998 0.204
Br 0.303 0.750 0.057
Br 0.697 0.250 0.943
F 0.176 0.250 0.709
F 0.384 0.750 0.659
F 0.616 0.250 0.341
F 0.824 0.750 0.291

Structure and computed powder diffraction line list of Cs3Na2Br3F2 (a cell relaxed with GGA-PBE; CuKα).
Neutral-atom scattering factors, no anomalous dispersion.

Top 8 peaks for 2θ from 10° to 80°, most intense first:
- d 3.472, I 100
- d 2.482, I 63
- d 3.549, I 55
- d 2.455, I 49
- d 2.019, I 44
- d 2.799, I 35
- d 1.422, I 22
- d 4.731, I 19

Cell and atoms:
abc: 14.613 14.613 14.613
angles: 160.66 160.66 27.49
Sites, in units of the cell vectors:
Cs 0.000 0.000 0.000
Cs 0.362 0.362 0.000
Cs 0.638 0.638 0.000
Na 0.233 0.233 0.000
Na 0.767 0.767 0.000
Br 0.129 0.129 0.000
Br 0.500 0.500 0.000
Br 0.871 0.871 0.000
F 0.250 0.750 0.500
F 0.750 0.250 0.500